For GdCrO4, a DFT-relaxed cell (GGA+U, Alexandria) gives the calculated X-ray powder pattern in this record (Cu Kα X-rays).

Atomic structure:
Cell lengths 7.3006, 7.3006, 6.3480 Å; angles 90.00, 90.00, 90.00 degrees
Space group I4_1/amd (No. 141, origin choice 2)
Inequivalent atoms, fractional coordinates:
Gd: 0.0000 0.2500 0.3750 x4
Cr: 0.0000 0.2500 0.8750 x4
O: 0.0000 0.0669 0.7035 x16

Most intense lines, 15° ≤ 2θ ≤ 90°, in order of falling intensity:
(2 0 0), 24.38°, I 100
(1 1 2), 33.13°, I 69
(3 1 2), 48.78°, I 58
(1 0 1), 18.52°, I 34
(2 2 0), 34.76°, I 22
(3 3 2), 61.28°, I 17
(4 0 0), 49.97°, I 16
(3 0 1), 39.67°, I 14
(4 2 0), 56.36°, I 14
(5 1 2), 72.41°, I 13
(3 2 1), 47.11°, I 12
(2 1 1), 30.80°, I 11